Theoretical powder X-ray diffraction pattern of Ca5Si6O18 for copper Kα, from the PBE geometry in Alexandria.

a = 6.801 Å, b = 6.808 Å, c = 9.597 Å
α = 97.63°, β = 94.42°, γ = 114.29°
Sites, in units of the cell vectors:
1 Ca 0.000 0.000 0.000
2 Ca 0.007 0.684 0.633
3 Ca 0.370 0.683 0.360
4 Ca 0.504 0.189 0.641
5 Ca 0.867 0.190 0.366
6 Si 0.238 0.601 0.937
7 Si 0.315 0.128 0.283
8 Si 0.559 0.741 0.719
9 Si 0.632 0.268 0.063
10 Si 0.881 0.699 0.283
11 Si 0.989 0.173 0.715
12 O 0.079 0.903 0.225
13 O 0.092 0.724 0.887
14 O 0.116 0.329 0.874
15 O 0.136 0.066 0.643
16 O 0.243 0.313 0.352
17 O 0.285 0.634 0.110
18 O 0.390 0.172 0.124
19 O 0.393 0.793 0.616
20 O 0.469 0.687 0.870
21 O 0.484 0.080 0.384
22 O 0.582 0.233 0.891
23 O 0.629 0.558 0.645
24 O 0.740 0.809 0.361
25 O 0.745 0.532 0.133
26 O 0.782 0.150 0.113
27 O 0.794 0.968 0.775
28 O 0.889 0.293 0.616
29 O 0.988 0.584 0.384

Most intense lines, 2θ = 15–90°, in order of rising 2θ:
2θ/deg, d_spacing, intensity
24.10, 3.693, 31
27.51, 3.243, 12
28.05, 3.181, 18
28.46, 3.137, 32
29.10, 3.068, 13
29.28, 3.051, 100
33.07, 2.709, 13
38.26, 2.353, 13
42.08, 2.147, 13
49.38, 1.846, 22
54.59, 1.681, 12
59.43, 1.555, 14